# Li6CuF8
Computed X-ray powder pattern, Cu Kα (λ = 1.5418 Å). Input: a DFT-relaxed cell (PBE, Alexandria).
Intensities are scaled so that the largest is 100.

Structure:
```
data_Li6CuF8
_space_group_name_H-M_alt 'P 1'
_space_group_IT_number 1
_cell_length_a 5.831
_cell_length_b 5.831
_cell_length_c 5.950
_cell_angle_alpha 117.00
_cell_angle_beta 117.00
_cell_angle_gamma 58.60
loop_
_space_group_symop_operation_xyz
'x,y,z'
loop_
_atom_site_label
_atom_site_type_symbol
_atom_site_fract_x
_atom_site_fract_y
_atom_site_fract_z
_atom_site_occupancy
Li1 Li 0.000 0.000 0.000 1
Li2 Li 0.000 0.500 0.000 1
Li3 Li 0.155 0.155 0.467 1
Li4 Li 0.500 0.000 0.000 1
Li5 Li 0.500 0.500 0.000 1
Li6 Li 0.845 0.845 0.533 1
Cu1 Cu 0.500 0.500 0.500 1
F1 F 0.222 0.222 0.221 1
F2 F 0.255 0.744 0.268 1
F3 F 0.256 0.745 0.732 1
F4 F 0.280 0.280 0.818 1
F5 F 0.720 0.720 0.182 1
F6 F 0.744 0.255 0.268 1
F7 F 0.745 0.256 0.732 1
F8 F 0.778 0.778 0.779 1
```

Main lines, low angle first (2θ from 10° to 90°):
| Position (°2θ) | I_rel |
| --- | --- |
| 18.60 | 82.1 |
| 18.74 | 42.4 |
| 20.46 | 37.3 |
| 21.61 | 58.1 |
| 30.71 | 36.3 |
| 41.60 | 53.6 |
| 44.03 | 100.0 |
| 63.95 | 42.7 |